[1]
The following is a calculated PXRD pattern of Cs2AcH4. It was derived from the GGA-PBE geometry in Alexandria, using copper Kα.

Structural model:
abc: 8.848 8.848 8.848
angles: 148.18 148.18 45.62
Fractional coordinates of all 7 atoms:
Cs: 0.157 0.157 0.000
Cs: 0.843 0.843 0.000
Ac: 0.500 0.500 0.000
H: 0.000 0.500 0.500
H: 0.346 0.346 0.000
H: 0.500 0.000 0.500
H: 0.654 0.654 0.000

Top 6 peaks for 2θ from 10° to 90°, in order of rising 2θ:
- 2θ = 24.59°, I = 1000
- 2θ = 25.98°, I = 451
- 2θ = 37.07°, I = 182
- 2θ = 42.43°, I = 227
- 2θ = 44.99°, I = 401
- 2θ = 50.42°, I = 140

---

[2]
The following is a calculated PXRD pattern of Cs3Ac3HfSe8. It was derived from the GGA-PBE geometry in Alexandria, using copper Kα.

Structural model:
abc: 10.003 10.003 10.003
angles: 52.93 52.93 52.93
Fractional coordinates of all 15 atoms:
Cs: 0.000 0.500 0.500
Cs: 0.500 0.000 0.500
Cs: 0.500 0.500 0.000
Ac: 0.000 0.000 0.500
Ac: 0.000 0.500 0.000
Ac: 0.500 0.000 0.000
Hf: 0.500 0.500 0.500
Se: 0.233 0.233 0.233
Se: 0.265 0.707 0.707
Se: 0.293 0.293 0.735
Se: 0.293 0.735 0.293
Se: 0.707 0.265 0.707
Se: 0.707 0.707 0.265
Se: 0.735 0.293 0.293
Se: 0.767 0.767 0.767

Top 6 peaks for 2θ from 10° to 90°, in order of rising 2θ:
- 2θ = 10.31°, I = 461
- 2θ = 26.93°, I = 1000
- 2θ = 33.67°, I = 182
- 2θ = 36.36°, I = 348
- 2θ = 40.47°, I = 351
- 2θ = 49.29°, I = 176

---

[3]
The following is a calculated PXRD pattern of CsAcHg. It was derived from the GGA-PBE geometry in Alexandria, using copper Kα.

Structural model:
abc: 4.226 7.718 9.251
angles: 76.12 89.96 74.12
Fractional coordinates of all 6 atoms:
Cs: 0.138 0.224 0.069
Cs: 0.862 0.776 0.931
Ac: 0.131 0.236 0.532
Ac: 0.869 0.764 0.468
Hg: 0.487 0.525 0.295
Hg: 0.513 0.475 0.705

Top 6 peaks for 2θ from 10° to 90°, in order of rising 2θ:
- 2θ = 12.31°, I = 349
- 2θ = 25.93°, I = 422
- 2θ = 27.68°, I = 467
- 2θ = 28.15°, I = 1000
- 2θ = 28.64°, I = 1000
- 2θ = 37.85°, I = 292

---

[4]
The following is a calculated PXRD pattern of CsAc2Hg2Pb2. It was derived from the GGA-PBE geometry in Alexandria, using copper Kα.

Structural model:
abc: 11.363 11.363 11.363
angles: 28.35 28.35 28.35
Fractional coordinates of all 7 atoms:
Cs: 0.000 0.000 0.000
Ac: 0.133 0.133 0.133
Ac: 0.867 0.867 0.867
Hg: 0.446 0.446 0.446
Hg: 0.554 0.554 0.554
Pb: 0.247 0.247 0.247
Pb: 0.753 0.753 0.753

Top 6 peaks for 2θ from 10° to 90°, in order of rising 2θ:
- 2θ = 26.57°, I = 493
- 2θ = 28.64°, I = 233
- 2θ = 32.17°, I = 1000
- 2θ = 33.11°, I = 362
- 2θ = 40.85°, I = 315
- 2θ = 48.38°, I = 209

---

[5]
The following is a calculated PXRD pattern of CsAcHg2S4. It was derived from the GGA-PBE geometry in Alexandria, using copper Kα.

Structural model:
abc: 7.135 7.135 7.135
angles: 118.99 109.39 100.56
Fractional coordinates of all 8 atoms:
Cs: 0.000 0.000 0.000
Ac: 0.500 0.500 0.000
Hg: 0.312 0.812 0.500
Hg: 0.688 0.188 0.500
S: 0.128 0.063 0.573
S: 0.489 0.555 0.427
S: 0.511 0.937 0.066
S: 0.872 0.445 0.934

Top 6 peaks for 2θ from 10° to 90°, in order of rising 2θ:
- 2θ = 14.48°, I = 307
- 2θ = 21.55°, I = 395
- 2θ = 25.49°, I = 1000
- 2θ = 32.92°, I = 449
- 2θ = 40.28°, I = 341
- 2θ = 43.85°, I = 319

---

[6]
The following is a calculated PXRD pattern of Cs3Ac2HoSe6. It was derived from the GGA-PBE geometry in Alexandria, using copper Kα.

Structural model:
abc: 7.817 7.817 8.811
angles: 98.52 98.52 119.99
Fractional coordinates of all 12 atoms:
Cs: 0.000 0.000 0.000
Cs: 0.331 0.669 0.000
Cs: 0.669 0.331 0.000
Ac: 0.166 0.834 0.500
Ac: 0.834 0.166 0.500
Ho: 0.500 0.500 0.500
Se: 0.122 0.436 0.309
Se: 0.251 0.251 0.692
Se: 0.436 0.122 0.309
Se: 0.564 0.878 0.691
Se: 0.749 0.749 0.308
Se: 0.878 0.564 0.691

Top 6 peaks for 2θ from 10° to 90°, in order of rising 2θ:
- 2θ = 10.51°, I = 200
- 2θ = 23.83°, I = 188
- 2θ = 26.83°, I = 1000
- 2θ = 36.60°, I = 350
- 2θ = 39.95°, I = 365
- 2θ = 48.78°, I = 189

---

[7]
The following is a calculated PXRD pattern of Cs4AcHo3Te8. It was derived from the GGA-PBE geometry in Alexandria, using copper Kα.

Structural model:
abc: 10.417 10.417 10.417
angles: 52.86 52.86 52.86
Fractional coordinates of all 16 atoms:
Cs: 0.000 0.000 0.000
Cs: 0.000 0.500 0.500
Cs: 0.500 0.000 0.500
Cs: 0.500 0.500 0.000
Ac: 0.500 0.500 0.500
Ho: 0.000 0.000 0.500
Ho: 0.000 0.500 0.000
Ho: 0.500 0.000 0.000
Te: 0.214 0.740 0.740
Te: 0.229 0.229 0.229
Te: 0.260 0.260 0.786
Te: 0.260 0.786 0.260
Te: 0.740 0.214 0.740
Te: 0.740 0.740 0.214
Te: 0.771 0.771 0.771
Te: 0.786 0.260 0.260

Top 6 peaks for 2θ from 10° to 90°, in order of rising 2θ:
- 2θ = 25.87°, I = 1000
- 2θ = 32.30°, I = 114
- 2θ = 34.87°, I = 327
- 2θ = 38.85°, I = 372
- 2θ = 47.26°, I = 191
- 2θ = 62.78°, I = 158

---

[8]
The following is a calculated PXRD pattern of Cs3AcI6. It was derived from the GGA-PBE geometry in Alexandria, using copper Kα.

Structural model:
abc: 10.923 10.923 10.923
angles: 91.41 91.41 91.41
Fractional coordinates of all 20 atoms:
Cs: 0.072 0.750 0.577
Cs: 0.250 0.423 0.928
Cs: 0.423 0.928 0.250
Cs: 0.577 0.072 0.750
Cs: 0.750 0.577 0.072
Cs: 0.928 0.250 0.423
Ac: 0.000 0.000 0.000
Ac: 0.500 0.500 0.500
I: 0.048 0.712 0.929
I: 0.071 0.952 0.288
I: 0.216 0.424 0.565
I: 0.288 0.071 0.952
I: 0.424 0.565 0.216
I: 0.435 0.784 0.576
I: 0.565 0.216 0.424
I: 0.576 0.435 0.784
I: 0.712 0.929 0.048
I: 0.784 0.576 0.435
I: 0.929 0.048 0.712
I: 0.952 0.288 0.071

Top 6 peaks for 2θ from 10° to 90°, in order of rising 2θ:
- 2θ = 11.61°, I = 429
- 2θ = 16.24°, I = 390
- 2θ = 17.99°, I = 327
- 2θ = 25.61°, I = 705
- 2θ = 26.01°, I = 1000
- 2θ = 30.25°, I = 507

---

[9]
The following is a calculated PXRD pattern of CsAcI4. It was derived from the GGA-PBE geometry in Alexandria, using copper Kα.

Structural model:
abc: 9.838 9.838 8.689
angles: 91.97 91.97 51.70
Fractional coordinates of all 12 atoms:
Cs: 0.215 0.215 0.256
Cs: 0.785 0.785 0.744
Ac: 0.467 0.467 0.722
Ac: 0.533 0.533 0.278
I: 0.165 0.624 0.434
I: 0.242 0.758 0.000
I: 0.296 0.296 0.836
I: 0.376 0.835 0.566
I: 0.624 0.165 0.434
I: 0.704 0.704 0.164
I: 0.758 0.242 0.000
I: 0.835 0.376 0.566

Top 6 peaks for 2θ from 10° to 90°, in order of rising 2θ:
- 2θ = 11.46°, I = 1000
- 2θ = 25.41°, I = 581
- 2θ = 29.27°, I = 929
- 2θ = 31.67°, I = 547
- 2θ = 32.92°, I = 337
- 2θ = 38.79°, I = 376

---

[10]
The following is a calculated PXRD pattern of Cs3AcI8. It was derived from the GGA-PBE geometry in Alexandria, using copper Kα.

Structural model:
abc: 11.022 11.022 11.022
angles: 134.05 134.05 67.01
Fractional coordinates of all 12 atoms:
Cs: 0.000 0.000 0.000
Cs: 0.250 0.750 0.500
Cs: 0.750 0.250 0.500
Ac: 0.500 0.500 0.000
I: 0.164 0.164 0.551
I: 0.164 0.614 0.000
I: 0.386 0.386 0.551
I: 0.386 0.836 0.000
I: 0.614 0.164 0.000
I: 0.614 0.614 0.449
I: 0.836 0.386 0.000
I: 0.836 0.836 0.449

Top 6 peaks for 2θ from 10° to 90°, in order of rising 2θ:
- 2θ = 11.35°, I = 159
- 2θ = 17.48°, I = 535
- 2θ = 28.42°, I = 1000
- 2θ = 29.36°, I = 466
- 2θ = 34.37°, I = 190
- 2θ = 51.49°, I = 296

---

[11]
The following is a calculated PXRD pattern of Cs5Ac2I12. It was derived from the GGA-PBE geometry in Alexandria, using copper Kα.

Structural model:
abc: 11.207 11.207 9.782
angles: 100.67 100.67 62.72
Fractional coordinates of all 19 atoms:
Cs: 0.000 0.000 0.000
Cs: 0.250 0.250 0.497
Cs: 0.367 0.367 0.980
Cs: 0.633 0.633 0.020
Cs: 0.750 0.750 0.503
Ac: 0.248 0.752 0.500
Ac: 0.752 0.248 0.500
I: 0.082 0.082 0.663
I: 0.092 0.696 0.725
I: 0.154 0.539 0.277
I: 0.304 0.908 0.275
I: 0.461 0.461 0.668
I: 0.461 0.846 0.723
I: 0.539 0.154 0.277
I: 0.539 0.539 0.332
I: 0.696 0.092 0.725
I: 0.846 0.461 0.723
I: 0.908 0.304 0.275
I: 0.918 0.918 0.337

Top 6 peaks for 2θ from 10° to 90°, in order of rising 2θ:
- 2θ = 22.94°, I = 790
- 2θ = 28.01°, I = 773
- 2θ = 29.65°, I = 1000
- 2θ = 30.66°, I = 829
- 2θ = 32.14°, I = 956
- 2θ = 40.79°, I = 847

---

[12]
The following is a calculated PXRD pattern of CsAc2I7. It was derived from the GGA-PBE geometry in Alexandria, using copper Kα.

Structural model:
abc: 9.790 9.790 6.508
angles: 90.00 90.00 116.08
Fractional coordinates of all 10 atoms:
Cs: 0.000 0.000 0.000
Ac: 0.301 0.699 0.500
Ac: 0.699 0.301 0.500
I: 0.052 0.324 0.500
I: 0.286 0.714 0.000
I: 0.324 0.052 0.500
I: 0.500 0.500 0.500
I: 0.676 0.948 0.500
I: 0.714 0.286 0.000
I: 0.948 0.676 0.500

Top 6 peaks for 2θ from 10° to 90°, in order of rising 2θ:
- 2θ = 10.65°, I = 546
- 2θ = 13.61°, I = 1000
- 2θ = 27.41°, I = 873
- 2θ = 27.52°, I = 632
- 2θ = 29.77°, I = 555
- 2θ = 30.50°, I = 526

---

[13]
The following is a calculated PXRD pattern of Cs2LiAcI6. It was derived from the GGA-PBE geometry in Alexandria, using copper Kα.

Structural model:
abc: 8.718 8.898 15.127
angles: 90.00 124.93 90.00
Fractional coordinates of all 20 atoms:
Cs: 0.235 0.051 0.249
Cs: 0.235 0.449 0.749
Cs: 0.765 0.551 0.251
Cs: 0.765 0.949 0.751
Li: 0.000 0.000 0.500
Li: 0.000 0.500 0.000
Ac: 0.500 0.000 0.000
Ac: 0.500 0.500 0.500
I: 0.171 0.218 0.968
I: 0.171 0.282 0.468
I: 0.252 0.704 0.970
I: 0.252 0.796 0.470
I: 0.301 0.006 0.741
I: 0.301 0.494 0.241
I: 0.699 0.506 0.759
I: 0.699 0.994 0.259
I: 0.748 0.204 0.530
I: 0.748 0.296 0.030
I: 0.829 0.718 0.532
I: 0.829 0.782 0.032

Top 6 peaks for 2θ from 10° to 90°, in order of rising 2θ:
- 2θ = 23.79°, I = 427
- 2θ = 24.63°, I = 615
- 2θ = 28.67°, I = 1000
- 2θ = 28.80°, I = 584
- 2θ = 41.02°, I = 296
- 2θ = 41.16°, I = 319